[1]
# Pm12Tm7Cd
Simulated powder X-ray diffraction pattern, Cu Kα X-rays. Input: a crystal structure in Alexandria, relaxed with PBE.
Intensities are scaled so that the largest is 1000.

Peak list (10 most intense, 2θ from 10° to 90°, sorted by position)
15.42°, I 236, hkl 2 0 0
21.87°, I 268, hkl 2 2 0
26.87°, I 600, hkl 2 2 2
31.12°, I 1000, hkl 4 0 0
38.37°, I 162, hkl 4 2 2
44.59°, I 703, hkl 4 4 0
52.83°, I 223, hkl 6 2 2
55.38°, I 234, hkl 4 4 4
73.73°, I 266, hkl 8 4 0
82.17°, I 190, hkl 8 4 4

Structure:
Lattice parameters (Å, degrees): 11.494 11.494 11.494 90.00 90.00 90.00
Space group Im-3 (No. 204)
Symmetry-distinct sites (fractional):
1 Pm 0.000 0.234 0.235 x24
2 Tm 0.000 0.000 0.500 x6
3 Tm 0.250 0.250 0.250 x8
4 Cd 0.000 0.000 0.000 x2



[2]
# PrHo2Ru9
Simulated powder X-ray diffraction pattern, Cu Kα X-rays. Input: a crystal structure in Alexandria, relaxed with PBE.
Intensities are scaled so that the largest is 1000.

Peak list (10 most intense, 2θ from 10° to 90°, sorted by position)
30.96°, I 199, hkl 1 0 7
33.77°, I 632, hkl 1 1 0
39.33°, I 289, hkl 0 2 1
39.82°, I 1000, hkl 1 1 6
41.69°, I 285, hkl 0 0 12
43.02°, I 336, hkl 2 0 5
60.39°, I 152, hkl 3 0 0
64.49°, I 336, hkl 2 0 14
70.99°, I 217, hkl 2 2 0
85.85°, I 123, hkl 2 2 12

Structure:
Lattice parameters (Å, degrees): 5.3109 5.3109 25.9871 90.00 90.00 120.00
Space group R-3m (No. 166, hexagonal axes)
Symmetry-distinct sites (fractional):
1 Pr 0.0000 0.0000 0.0000 x3
2 Ho 0.0000 0.0000 0.1398 x6
3 Ru 0.0000 0.0000 0.3388 x6
4 Ru 0.0000 0.0000 0.5000 x3
5 Ru 0.0123 0.5061 0.9163 x18



[3]
# DyHfZn4
Simulated powder X-ray diffraction pattern, Cu Kα X-rays. Input: a crystal structure in Alexandria, relaxed with PBE.
Intensities are scaled so that the largest is 1000.

Peak list (10 most intense, 2θ from 10° to 90°, sorted by position)
23.23°, I 251, hkl 0 1 1
36.29°, I 1000, hkl 1 0 2
40.81°, I 604, hkl 0 2 0
47.48°, I 40, hkl 0 0 4
55.74°, I 286, hkl 1 2 2
56.75°, I 76, hkl 2 0 0
71.35°, I 269, hkl 1 1 5
72.23°, I 215, hkl 2 2 0
74.34°, I 66, hkl 0 3 3
88.38°, I 41, hkl 0 2 6

Structure:
Lattice parameters (Å, degrees): 3.244 4.419 7.666 90.00 90.00 90.00
Space group Pmmm (No. 47)
Symmetry-distinct sites (fractional):
1 Dy 0.000 0.000 0.000 x1
2 Hf 0.000 0.500 0.500 x1
3 Zn 0.500 0.000 0.340 x2
4 Zn 0.500 0.500 0.176 x2



[4]
# RbLi4Cu3Cl12
Simulated powder X-ray diffraction pattern, Cu Kα X-rays. Input: a crystal structure in Alexandria, relaxed with PBE.
Intensities are scaled so that the largest is 1000.

Peak list (10 most intense, 2θ from 10° to 90°, sorted by position)
18.73°, I 1000, hkl 2 0 0
26.60°, I 492, hkl 2 2 0
29.81°, I 991, hkl 3 1 0
32.73°, I 738, hkl 2 2 2
35.44°, I 468, hkl 3 2 1
37.97°, I 259, hkl 4 0 0
42.66°, I 205, hkl 4 2 0
46.97°, I 871, hkl 4 2 2
58.42°, I 608, hkl 6 0 0
87.29°, I 345, hkl 6 6 0

Structure:
Lattice parameters (Å, degrees): 9.478 9.478 9.478 90.00 90.00 90.00
Space group Im-3 (No. 204)
Symmetry-distinct sites (fractional):
1 Rb 0.000 0.000 0.000 x2
2 Li 0.250 0.250 0.250 x8
3 Cu 0.000 0.000 0.500 x6
4 Cl 0.000 0.166 0.328 x24



[5]
# ScBe9Pd2
Simulated powder X-ray diffraction pattern, Cu Kα X-rays. Input: a crystal structure in Alexandria, relaxed with PBE.
Intensities are scaled so that the largest is 1000.

Peak list (10 most intense, 2θ from 10° to 90°, sorted by position)
12.53°, I 1000, hkl 0 0 2
23.13°, I 539, hkl 1 0 0
23.98°, I 423, hkl 1 0 1
26.39°, I 266, hkl 1 0 2
30.00°, I 368, hkl 1 0 3
39.57°, I 985, hkl 1 0 5
40.64°, I 657, hkl 1 1 0
42.69°, I 298, hkl 1 1 2
48.42°, I 341, hkl 1 1 4
73.23°, I 301, hkl 2 1 5

Structure:
Lattice parameters (Å, degrees): 4.4402 4.4402 14.1341 90.00 90.00 120.00
Space group P6_3/mmc (No. 194)
Symmetry-distinct sites (fractional):
1 Sc 0.3333 0.6667 0.2500 x2
2 Be 0.0000 0.0000 0.0000 x2
3 Be 0.0000 0.0000 0.2500 x2
4 Be 0.1680 0.3361 0.6217 x12
5 Be 0.3333 0.6667 0.7500 x2
6 Pd 0.3333 0.6667 0.0426 x4



[6]
# Ag4S3Cl4
Simulated powder X-ray diffraction pattern, Cu Kα X-rays. Input: a crystal structure in Alexandria, relaxed with PBE.
Intensities are scaled so that the largest is 1000.

Peak list (10 most intense, 2θ from 10° to 90°, sorted by position)
13.75°, I 596, hkl 0 0 1
14.95°, I 1000, hkl 1 0 -1
17.58°, I 558, hkl 0 1 1
18.54°, I 904, hkl 1 1 -1
26.51°, I 967, hkl 1 2 0
27.70°, I 372, hkl 0 0 2
29.78°, I 363, hkl 2 0 0
33.30°, I 435, hkl 1 2 -2
43.58°, I 376, hkl 1 2 2
44.64°, I 560, hkl 0 4 0

Structure:
Lattice parameters (Å, degrees): 6.730 8.117 7.219 90.00 116.86 90.00
Space group Pm (No. 6)
Symmetry-distinct sites (fractional):
1 Ag 0.000 0.000 0.000 x1
2 Ag 0.144 0.500 0.465 x1
3 Ag 0.601 0.249 0.979 x2
4 S 0.535 0.000 0.532 x1
5 S 0.693 0.199 0.680 x2
6 Cl 0.347 0.500 0.857 x1
7 Cl 0.388 0.000 0.021 x1
8 Cl 0.998 0.236 0.269 x2